For LaMnRuN, DFT lattice parameters and positions (GGA-PBE) gives the computed powder X-ray diffraction pattern in this record (CuKα).

Largest 10 diffraction maxima, low angle first, 2θ from 10° to 90°:
d = 3.599 Å, 2θ 24.74, I = 248; d = 2.846 Å, 2θ 31.44, I = 442; d = 2.758 Å, 2θ 32.46, I = 1000; d = 2.561 Å, 2θ 35.04, I = 310; d = 2.543 Å, 2θ 35.29, I = 416; d = 2.437 Å, 2θ 36.89, I = 280; d = 2.088 Å, 2θ 43.33, I = 552; d = 2.038 Å, 2θ 44.44, I = 255; d = 1.888 Å, 2θ 48.20, I = 164; d = 1.555 Å, 2θ 59.42, I = 205

Cell and atoms:
a b c (Å): 4.454 4.454 5.273
angles (deg): 102.72 102.72 44.12
Positions (direct):
La 0.000 0.000 0.000
Mn 0.359 0.359 0.475
Ru 0.653 0.653 0.594
N 0.269 0.269 0.779